The following is a theoretical X-ray diffraction stick pattern of YBiO3. It was derived from a DFT-relaxed cell (PBE, the Materials Project), using Cu Kα X-rays.
Kinematic intensities with the Lorentz-polarization factor, no thermal factor.

Structural model:
```
YBiO3
1.0
6.6136 0.0000 0.0000
-3.3068 5.7276 0.0000
0.0000 0.0000 13.0821
Y Bi O
6 6 18
Cartesian
0.0000 0.0000 0.0000
0.0000 0.0000 6.5411
0.0000 3.8184 6.1729
0.0000 3.8184 12.7139
3.3068 1.9092 6.1729
3.3068 1.9092 12.7139
-1.1010 1.9071 3.0864
-2.2058 3.8205 9.6274
2.2021 0.0000 3.0864
1.1010 1.9071 9.6274
4.4115 0.0000 9.6274
2.2058 3.8205 3.0864
0.0000 0.0000 2.4627
0.0000 0.0000 9.0038
-0.9919 1.7180 5.4197
-1.2394 2.1466 0.7753
-2.0674 3.5809 7.3164
-2.3149 4.0096 11.9607
1.9838 0.0000 5.4197
0.9919 1.7180 11.9607
0.0000 3.8184 3.6361
0.0000 3.8184 10.1771
2.4787 0.0000 0.7753
1.2394 2.1466 7.3164
4.1349 0.0000 7.3164
2.0674 3.5809 0.7753
3.3068 1.9092 3.6361
3.3068 1.9092 10.1771
4.6298 0.0000 11.9607
2.3149 4.0096 5.4197
```

Principal peaks in the range 10 to 80 degrees two-theta, by angle:
| Position (°2θ) | I (rel.) |
| --- | --- |
| 13.54 | 26 |
| 27.27 | 41 |
| 27.83 | 100 |
| 30.29 | 63 |
| 34.03 | 38 |
| 44.14 | 32 |
| 47.63 | 36 |
| 50.11 | 21 |
| 55.75 | 34 |
| 56.06 | 14 |

The following is a theoretical X-ray diffraction stick pattern of Y2Bi2O7. It was derived from a DFT-relaxed cell (PBE, the Materials Project), using Cu Kα X-rays.
Kinematic intensities with the Lorentz-polarization factor, no thermal factor.

Structural model:
```
Y2Bi2O7
1.0
0.0000 5.4688 5.4688
5.4688 0.0000 5.4688
5.4688 5.4688 0.0000
Y Bi O
4 4 14
Cartesian
0.0000 0.0000 0.0000
2.7344 2.7344 0.0000
2.7344 0.0000 2.7344
0.0000 2.7344 2.7344
5.4688 2.7344 2.7344
2.7344 5.4688 2.7344
2.7344 2.7344 5.4688
5.4688 5.4688 5.4688
1.3672 1.3672 1.3672
4.1016 4.1016 1.6087
4.1016 1.6087 4.1016
6.5945 4.1016 4.1016
6.8360 6.8360 4.3431
6.8360 4.3431 6.8360
9.3288 6.8360 6.8360
1.6087 4.1016 4.1016
4.1016 6.5945 4.1016
4.1016 4.1016 6.5945
4.3431 6.8360 6.8360
6.8360 9.3288 6.8360
6.8360 6.8360 9.3288
9.5703 9.5703 9.5703
```

Principal peaks in the range 10 to 80 degrees two-theta, by angle:
| Position (°2θ) | I (rel.) |
| --- | --- |
| 14.02 | 17 |
| 27.04 | 16 |
| 28.26 | 100 |
| 32.75 | 33 |
| 47.00 | 51 |
| 55.75 | 46 |
| 58.46 | 10 |
| 68.65 | 8 |
| 75.83 | 19 |
| 78.16 | 14 |

The following is a theoretical X-ray diffraction stick pattern of YBiO3. It was derived from a DFT-relaxed cell (PBE, the Materials Project), using Cu Kα X-rays.
Kinematic intensities with the Lorentz-polarization factor, no thermal factor.

Structural model:
```
YBiO3
1.0
3.0133 1.7397 5.0903
-3.0133 1.7397 5.0903
0.0000 -3.4795 5.0903
Y Bi O
2 2 6
Cartesian
0.0000 0.0000 0.0000
0.0000 0.0000 7.6354
0.0000 0.0000 4.3722
0.0000 0.0000 12.0077
-0.6979 -1.5358 5.9802
-2.0322 -0.3675 8.5253
-0.9811 1.3723 5.9802
1.3344 -1.5762 8.5253
1.6790 0.1635 5.9802
0.6979 1.9437 8.5253
```

Principal peaks in the range 10 to 80 degrees two-theta, by angle:
| Position (°2θ) | I (rel.) |
| --- | --- |
| 20.61 | 55 |
| 28.98 | 96 |
| 29.65 | 100 |
| 36.38 | 14 |
| 41.93 | 42 |
| 46.72 | 40 |
| 52.19 | 43 |
| 52.61 | 28 |
| 61.55 | 14 |
| 69.44 | 16 |

The following is a theoretical X-ray diffraction stick pattern of Y2Bi2O7. It was derived from a DFT-relaxed cell (PBE, the Materials Project), using Cu Kα X-rays.
Kinematic intensities with the Lorentz-polarization factor, no thermal factor.

Structural model:
```
Y2Bi2O7
1.0
3.6387 -4.8398 0.0000
3.6387 4.8398 0.0000
-0.9866 0.0000 5.7978
Y Bi O
2 2 7
Cartesian
3.6387 2.9770 0.0000
3.6387 -2.9770 0.0000
1.1565 0.0000 3.5160
5.1344 0.0000 2.2818
0.0583 0.0000 1.4789
1.1285 1.7385 4.7402
1.1285 -1.7385 4.7402
3.1454 0.0000 2.8989
5.1623 1.7385 1.0577
5.1623 -1.7385 1.0577
6.2325 0.0000 4.3190
```

Principal peaks in the range 10 to 80 degrees two-theta, by angle:
| Position (°2θ) | I (rel.) |
| --- | --- |
| 18.33 | 29 |
| 20.21 | 26 |
| 23.18 | 49 |
| 23.95 | 100 |
| 26.94 | 32 |
| 31.03 | 44 |
| 32.65 | 29 |
| 33.18 | 21 |
| 39.39 | 21 |
| 45.40 | 31 |

The following is a theoretical X-ray diffraction stick pattern of YBiO3. It was derived from a DFT-relaxed cell (PBE, the Materials Project), using Cu Kα X-rays.
Kinematic intensities with the Lorentz-polarization factor, no thermal factor.

Structural model:
```
YBiO3
1.0
6.1495 0.0000 0.0000
0.0000 8.6676 0.0000
0.0000 0.0000 5.8875
Y Bi O
4 4 12
Cartesian
0.2978 2.1669 0.0546
2.7769 6.5007 2.9983
3.3725 2.1669 2.8892
5.8517 6.5007 5.8330
0.0000 0.0000 2.9438
0.0000 4.3338 2.9438
3.0747 0.0000 0.0000
3.0747 4.3338 0.0000
0.6517 6.5007 1.9636
1.0812 5.0500 4.8823
1.0812 7.9514 4.8823
1.9935 0.7162 1.9385
1.9935 3.6176 1.9385
2.4230 2.1669 4.9073
3.7265 6.5007 0.9802
4.1560 5.0500 3.9490
4.1560 7.9514 3.9490
5.0682 0.7162 1.0052
5.0682 3.6176 1.0052
5.4977 2.1669 3.9240
```

Principal peaks in the range 10 to 80 degrees two-theta, by angle:
| Position (°2θ) | I (rel.) |
| --- | --- |
| 20.89 | 19 |
| 29.04 | 23 |
| 29.43 | 100 |
| 30.36 | 21 |
| 42.51 | 20 |
| 51.60 | 11 |
| 51.72 | 20 |
| 52.43 | 11 |
| 53.37 | 23 |
| 61.06 | 12 |

The following is a theoretical X-ray diffraction stick pattern of YBi3O6. It was derived from a DFT-relaxed cell (PBE, the Materials Project), using Cu Kα X-rays.
Kinematic intensities with the Lorentz-polarization factor, no thermal factor.

Structural model:
```
YBi3O6
1.0
5.0792 2.9325 3.8488
-5.0792 2.9325 3.8488
0.0000 -5.8649 3.8488
Y Bi O
2 6 12
Cartesian
0.0000 0.0000 0.0000
0.0000 0.0000 5.7732
-3.5451 -0.9779 5.2807
-0.9257 -3.5591 6.2656
-2.6194 2.5812 6.2656
2.6194 -2.5812 5.2807
0.9257 3.5591 5.2807
3.5451 0.9778 6.2656
-3.3621 -3.1854 6.2095
-4.4397 1.3190 5.3368
-1.1900 -1.5571 4.5797
1.0776 -4.5044 5.3368
-0.7535 1.8091 4.5797
-1.9435 0.2520 6.9667
1.9435 -0.2520 4.5797
0.7535 -1.8091 6.9667
-1.0776 4.5044 6.2095
1.1900 1.5571 6.9667
4.4397 -1.3190 6.2095
3.3621 3.1854 5.3368
```

Principal peaks in the range 10 to 80 degrees two-theta, by angle:
| Position (°2θ) | I (rel.) |
| --- | --- |
| 23.11 | 30 |
| 25.46 | 14 |
| 27.92 | 100 |
| 29.11 | 40 |
| 31.04 | 56 |
| 40.12 | 17 |
| 41.42 | 21 |
| 47.35 | 27 |
| 50.73 | 18 |
| 53.33 | 15 |

The following is a theoretical X-ray diffraction stick pattern of ZnBi2O4. It was derived from a DFT-relaxed cell (PBE, the Materials Project), using Cu Kα X-rays.
Kinematic intensities with the Lorentz-polarization factor, no thermal factor.

Structural model:
```
ZnBi2O4
1.0
3.4007 0.0000 0.0000
0.0000 10.6948 0.0000
0.0000 0.0000 11.4787
Zn Bi O
4 8 16
Cartesian
0.4842 1.5163 2.8697
0.4842 3.8311 8.6091
2.9165 6.8637 2.8697
2.9165 9.1785 8.6091
1.1182 1.3071 6.7424
1.1182 1.3071 10.4758
1.1182 4.0403 1.0030
1.1182 4.0403 4.7364
2.2825 6.6545 6.7424
2.2825 6.6545 10.4758
2.2825 9.3877 1.0030
2.2825 9.3877 4.7364
0.8177 0.3742 1.1898
0.8177 0.3742 4.5495
0.8177 4.9733 6.9292
0.8177 4.9733 10.2889
0.8287 8.0211 0.0000
0.8287 8.0211 5.7394
1.2257 7.9880 8.6091
1.2257 8.0542 2.8697
2.1750 2.6406 8.6091
2.1750 2.7068 2.8697
2.5719 2.6737 0.0000
2.5719 2.6737 5.7394
2.5830 5.7216 1.1898
2.5830 5.7216 4.5495
2.5830 10.3207 6.9292
2.5830 10.3207 10.2889
```

Principal peaks in the range 10 to 80 degrees two-theta, by angle:
| Position (°2θ) | I (rel.) |
| --- | --- |
| 15.44 | 14 |
| 18.30 | 23 |
| 27.52 | 36 |
| 28.68 | 100 |
| 32.15 | 14 |
| 33.52 | 26 |
| 36.33 | 33 |
| 36.52 | 28 |
| 43.74 | 28 |
| 57.00 | 16 |

The following is a theoretical X-ray diffraction stick pattern of ZnBi12O20. It was derived from a DFT-relaxed cell (PBE, the Materials Project), using Cu Kα X-rays.
Kinematic intensities with the Lorentz-polarization factor, no thermal factor.

Structural model:
```
ZnBi12O20
1.0
-5.0990 5.0990 5.0990
5.0990 -5.0990 5.0990
5.0990 5.0990 -5.0990
Zn Bi O
1 12 20
Cartesian
0.0000 0.0000 0.0000
5.0299 -1.8868 3.3239
6.9858 1.7751 -0.0691
3.2122 1.7751 0.0691
3.3239 5.0299 -1.8868
1.7751 0.0691 3.2122
0.0691 3.2122 1.7751
5.1681 1.8868 3.3239
1.7751 -0.0691 6.9858
3.3239 5.1681 1.8868
-1.8868 3.3239 5.0299
1.8868 3.3239 5.1681
-0.0691 6.9858 1.7751
1.1717 1.1717 -1.1717
3.1684 3.1684 -3.1684
1.1717 -1.1717 1.1717
3.1684 -3.1684 3.1684
5.2115 2.5451 -1.3311
-1.1717 1.1717 1.1717
3.7678 -0.1126 2.5539
6.4301 0.1126 2.5539
2.5539 3.7678 -0.1126
1.9306 1.9306 1.9306
4.9864 2.5451 1.3311
2.5451 -1.3311 5.2115
2.5451 1.3311 4.9864
-0.1126 2.5539 3.7678
-3.1684 3.1684 3.1684
2.5539 6.4301 0.1126
1.3311 4.9864 2.5451
-1.3311 5.2115 2.5451
3.9272 3.9272 3.9272
0.1126 2.5539 6.4301
```

Principal peaks in the range 10 to 80 degrees two-theta, by angle:
| Position (°2θ) | I (rel.) |
| --- | --- |
| 24.69 | 23 |
| 27.66 | 100 |
| 30.36 | 22 |
| 32.86 | 68 |
| 52.31 | 47 |
| 53.95 | 19 |
| 55.55 | 29 |
| 61.69 | 21 |
| 78.47 | 18 |
| 79.80 | 15 |

The following is a theoretical X-ray diffraction stick pattern of ZnBi2O4. It was derived from a DFT-relaxed cell (PBE, the Materials Project), using Cu Kα X-rays.
Kinematic intensities with the Lorentz-polarization factor, no thermal factor.

Structural model:
```
ZnBi2O4
1.0
6.7651 0.0000 0.0000
3.1103 6.0336 0.0000
0.6825 0.4495 16.5129
Zn Bi O
6 12 24
Cartesian
0.0000 0.0000 0.0000
0.3495 0.2118 6.2392
2.1730 1.3612 13.8703
3.4970 2.1749 11.1482
5.1324 3.1446 8.8050
8.1160 4.9640 2.4098
1.9120 3.2031 8.2848
3.7383 4.3772 13.8137
3.1511 1.9118 4.9557
4.7335 5.0165 2.8115
3.3086 2.0230 0.8848
3.7180 0.2474 8.2761
7.0562 4.3313 15.7370
5.5650 1.3749 13.8063
6.8363 4.1701 5.5310
7.2063 4.4314 11.7147
6.6099 1.9153 2.8178
10.1820 6.2308 10.2792
0.3656 0.2305 4.2082
2.1241 3.0532 12.5343
3.0453 4.3604 1.3585
1.4735 0.8778 1.4094
2.1641 1.3370 9.7163
3.5883 3.9470 9.8963
5.1756 5.6596 15.1181
5.2445 5.4793 6.8315
3.8943 2.3943 15.2308
3.8556 2.3522 7.2859
3.6556 0.6415 12.5751
4.8541 2.9453 4.1439
5.5324 3.4083 12.5421
6.7878 5.9173 3.8857
5.1406 1.3958 9.8860
6.7238 4.0999 9.5165
6.5821 4.0306 1.3806
5.2273 0.7393 1.3568
8.8484 5.4420 15.1345
8.5071 5.2066 6.7655
7.4065 2.0499 15.1374
7.2592 2.1520 6.8359
8.3672 3.3136 3.8987
10.2757 6.2872 12.4613
```

Principal peaks in the range 10 to 80 degrees two-theta, by angle:
| Position (°2θ) | I (rel.) |
| --- | --- |
| 25.85 | 35 |
| 26.36 | 55 |
| 27.16 | 56 |
| 30.07 | 64 |
| 30.12 | 64 |
| 30.32 | 100 |
| 30.50 | 94 |
| 31.19 | 93 |
| 31.30 | 35 |
| 31.65 | 47 |

The following is a theoretical X-ray diffraction stick pattern of ZnBiO3. It was derived from a DFT-relaxed cell (PBE, the Materials Project), using Cu Kα X-rays.
Kinematic intensities with the Lorentz-polarization factor, no thermal factor.

Structural model:
```
ZnBiO3
1.0
3.9114 0.0000 0.0000
0.0000 3.9114 0.0000
0.0000 0.0000 3.9114
Zn Bi O
1 1 3
Cartesian
0.0000 0.0000 0.0000
1.9557 1.9557 1.9557
0.0000 0.0000 1.9557
0.0000 1.9557 0.0000
1.9557 0.0000 0.0000
```

Principal peaks in the range 10 to 80 degrees two-theta, by angle:
| Position (°2θ) | I (rel.) |
| --- | --- |
| 22.73 | 23 |
| 32.37 | 100 |
| 39.92 | 19 |
| 46.43 | 28 |
| 52.30 | 12 |
| 57.73 | 40 |
| 67.76 | 18 |
| 72.50 | 6 |
| 77.11 | 18 |